Entry 1:
This entry pairs a crystal structure of Sr2GaGeN with its calculated powder diffractogram. Radiation: Cu Ka. Structure: a structure optimized by DFT (GGA-PBE).
Lines closer than 0.1° are merged.

Peak list (8 most intense, 2θ from 10° to 80°, low angle first)
two_theta	I (rel.)
28.67	63.9
30.53	100.0
32.14	23.0
34.90	45.1
36.21	35.2
40.97	26.4
44.15	29.2
53.49	22.5

Atomic structure:
```
Sr2GaGeN
1.0
6.9618 0.0000 0.0000
0.0000 4.1027 0.0000
-2.8079 0.0000 8.3565
Sr Ga Ge N
4 2 2 2
Cartesian
0.2289 1.0257 3.1606 Sr
-1.3069 1.0257 8.0721 Sr
5.4609 3.0770 0.2844 Sr
3.9251 3.0770 5.1959 Sr
2.5299 3.0770 2.0699 Ga
1.6241 1.0257 6.2866 Ga
0.2825 3.0770 5.8524 Ge
3.8715 1.0257 2.5041 Ge
0.7483 3.0770 1.4280 N
3.4057 1.0257 6.9284 N
```


Entry 2:
This entry pairs a crystal structure of Dy6MgGe2S14 with its calculated powder diffractogram. Radiation: Cu Ka. Structure: a structure optimized by DFT (GGA-PBE).
Lines closer than 0.1° are merged.

Peak list (8 most intense, 2θ from 10° to 80°, low angle first)
two_theta	I (rel.)
20.81	32.2
23.70	22.8
25.93	100.0
36.46	36.6
37.52	29.7
38.00	23.0
41.19	25.8
41.91	21.9

Atomic structure:
```
Dy6MgGe2S14
1.0
9.8576 0.0000 0.0000
-4.9288 8.5370 0.0000
0.0000 0.0000 5.7937
Dy Mg Ge S
6 1 2 14
Cartesian
-2.4961 4.7460 0.0000 Dy
2.4859 0.9390 2.9140 Dy
2.0667 4.0022 0.0000 Dy
0.4294 8.3256 0.0000 Dy
4.4991 5.9146 2.9140 Dy
7.8014 1.6833 2.9140 Dy
4.9288 2.8456 1.6510 Mg
0.0000 0.0000 5.3503 Ge
0.0000 5.6913 2.4380 Ge
0.0000 0.0000 1.7549 S
-3.3328 7.2721 4.4143 S
0.2974 2.0146 4.4143 S
-0.2941 3.6774 1.5035 S
-1.5970 6.9530 1.5035 S
0.0000 5.6913 4.6417 S
3.1949 1.5374 0.3028 S
2.9266 3.6771 3.1116 S
5.2099 0.6959 3.1116 S
1.8911 6.4435 1.5035 S
3.0354 7.7872 4.4143 S
4.6628 5.0014 0.3028 S
6.9288 1.9982 0.3028 S
6.6500 4.1639 3.1116 S
```


Entry 3:
This entry pairs a crystal structure of B13C2 with its calculated powder diffractogram. Radiation: Cu Ka. Structure: a structure optimized by DFT (GGA-PBE).
Lines closer than 0.1° are merged.

Peak list (8 most intense, 2θ from 10° to 80°, low angle first)
two_theta	I (rel.)
22.00	27.4
23.34	58.0
34.81	66.3
37.44	100.0
63.17	18.9
64.36	18.2
66.04	19.7
70.53	14.0

Atomic structure:
```
B13C2
1.0
2.8296 1.6337 4.0400
-2.8296 1.6337 4.0400
0.0000 -3.2674 4.0400
B C
13 2
Cartesian
0.0000 0.0000 0.0000 B
-0.8933 -0.5158 4.6892 B
-1.4571 -0.8413 6.3612 B
0.0000 -1.6825 5.7589 B
-1.4571 0.8413 5.7589 B
0.8933 -0.5158 4.6892 B
0.0000 1.0315 4.6892 B
0.0000 -1.0315 7.4309 B
-0.8933 0.5158 7.4309 B
1.4571 -0.8413 6.3612 B
0.0000 1.6825 6.3612 B
1.4571 0.8413 5.7589 B
0.8933 0.5158 7.4309 B
0.0000 0.0000 1.4433 C
0.0000 0.0000 10.6769 C
```


Entry 4:
This entry pairs a crystal structure of MgBi4O8 with its calculated powder diffractogram. Radiation: Cu Ka. Structure: a structure optimized by DFT (GGA-PBE).
Lines closer than 0.1° are merged.

Peak list (8 most intense, 2θ from 10° to 80°, low angle first)
two_theta	I (rel.)
14.84	100.0
15.48	74.8
29.87	68.5
30.02	54.7
30.27	27.3
31.27	35.7
37.52	33.7
38.05	22.6

Atomic structure:
```
MgBi4O8
1.0
6.3859 0.0000 0.0000
2.6045 6.4714 0.0000
2.7029 2.4505 5.9574
Mg Bi O
1 4 8
Cartesian
0.0000 0.0000 0.0000 Mg
3.9115 7.5196 2.9445 Bi
4.0234 5.5651 5.8002 Bi
5.1377 3.3778 2.2306 Bi
8.4571 4.4456 2.9696 Bi
4.9462 7.3348 4.8772 O
3.4486 5.4667 1.6474 O
3.4849 3.5935 4.3673 O
2.6958 2.7142 1.7883 O
6.8728 3.1224 3.7513 O
6.8932 4.6616 1.4207 O
8.6658 6.2003 4.1676 O
6.0468 1.7045 1.1268 O
```